1.
Theoretical powder XRD pattern of CdI2 for Cu Kα, from a structure optimized by DFT (PBE).

Atomic structure:
```
data_CdI2
_chemical_formula_sum 'Cd4 I8'
_symmetry_space_group_name_H-M 'P 1'
_symmetry_Int_Tables_number 1
_cell_length_a 4.332
_cell_length_b 4.332
_cell_length_c 29.603
_cell_angle_alpha 90.00
_cell_angle_beta 90.00
_cell_angle_gamma 120.00
loop_
_symmetry_equiv_pos_as_xyz
'x,y,z'
loop_
_atom_site_label
_atom_site_fract_x
_atom_site_fract_y
_atom_site_fract_z
Cd1 0.333 0.667 0.000
Cd2 0.333 0.667 0.250
Cd3 0.667 0.333 0.500
Cd4 0.667 0.333 0.750
I1 0.000 0.000 0.058
I2 0.000 0.000 0.308
I3 0.000 0.000 0.558
I4 0.000 0.000 0.808
I5 0.333 0.667 0.442
I6 0.333 0.667 0.692
I7 0.667 0.333 0.192
I8 0.667 0.333 0.942
```

Most intense lines, 10° ≤ 2θ ≤ 90°, most intense first:
- (1 0 4), 26.6 deg, I 100
- (0 0 4), 12.0 deg, I 56
- (1 1 0), 41.7 deg, I 53
- (1 0 7), 31.9 deg, I 33
- (1 0 5), 28.2 deg, I 32
- (1 0 12), 43.9 deg, I 26
- (1 0 9), 36.3 deg, I 25
- (1 1 16), 66.5 deg, I 23
- (1 0 8), 34.0 deg, I 22
- (1 0 3), 25.4 deg, I 18

2.
Theoretical powder XRD pattern of CdI2 for Cu Kα, from a structure optimized by DFT (PBE).

Atomic structure:
```
data_CdI2
_chemical_formula_sum 'Cd8 I16'
_symmetry_space_group_name_H-M 'P 1'
_symmetry_Int_Tables_number 1
_cell_length_a 4.331
_cell_length_b 4.331
_cell_length_c 59.399
_cell_angle_alpha 90.00
_cell_angle_beta 90.00
_cell_angle_gamma 120.00
loop_
_symmetry_equiv_pos_as_xyz
'x,y,z'
loop_
_atom_site_label
_atom_site_fract_x
_atom_site_fract_y
_atom_site_fract_z
Cd1 0.000 0.000 0.000
Cd2 0.000 0.000 0.125
Cd3 0.000 0.000 0.375
Cd4 0.000 0.000 0.500
Cd5 0.000 0.000 0.750
Cd6 0.667 0.333 0.250
Cd7 0.667 0.333 0.625
Cd8 0.667 0.333 0.875
I1 0.000 0.000 0.221
I2 0.000 0.000 0.596
I3 0.000 0.000 0.846
I4 0.333 0.667 0.029
I5 0.333 0.667 0.154
I6 0.333 0.667 0.279
I7 0.333 0.667 0.404
I8 0.333 0.667 0.529
I9 0.333 0.667 0.654
I10 0.333 0.667 0.779
I11 0.333 0.667 0.904
I12 0.667 0.333 0.096
I13 0.667 0.333 0.346
I14 0.667 0.333 0.471
I15 0.667 0.333 0.721
I16 0.667 0.333 0.971
```

Most intense lines, 10° ≤ 2θ ≤ 90°, most intense first:
- (0 1 8), 26.6 deg, I 100
- (0 0 8), 11.9 deg, I 56
- (1 1 0), 41.7 deg, I 51
- (1 0 24), 43.8 deg, I 26
- (0 1 16), 34.0 deg, I 25
- (1 0 13), 30.8 deg, I 24
- (1 0 11), 29.0 deg, I 23
- (1 1 32), 66.3 deg, I 23
- (2 0 8), 50.2 deg, I 17
- (1 0 19), 37.4 deg, I 16

3.
Theoretical powder XRD pattern of CdI2 for Cu Kα, from a structure optimized by DFT (PBE).

Atomic structure:
```
data_CdI2
_chemical_formula_sum 'Cd6 I12'
_symmetry_space_group_name_H-M 'P 1'
_symmetry_Int_Tables_number 1
_cell_length_a 4.332
_cell_length_b 4.332
_cell_length_c 44.443
_cell_angle_alpha 90.00
_cell_angle_beta 90.00
_cell_angle_gamma 120.00
loop_
_symmetry_equiv_pos_as_xyz
'x,y,z'
loop_
_atom_site_label
_atom_site_fract_x
_atom_site_fract_y
_atom_site_fract_z
Cd1 0.000 0.000 0.000
Cd2 0.000 0.000 0.167
Cd3 0.000 0.000 0.333
Cd4 0.000 0.000 0.500
Cd5 0.000 0.000 0.667
Cd6 0.333 0.667 0.833
I1 0.000 0.000 0.872
I2 0.333 0.667 0.039
I3 0.333 0.667 0.205
I4 0.333 0.667 0.372
I5 0.333 0.667 0.539
I6 0.333 0.667 0.706
I7 0.667 0.333 0.128
I8 0.667 0.333 0.294
I9 0.667 0.333 0.461
I10 0.667 0.333 0.628
I11 0.667 0.333 0.794
I12 0.667 0.333 0.961
```

Most intense lines, 10° ≤ 2θ ≤ 90°, most intense first:
- (0 1 6), 26.6 deg, I 100
- (0 0 6), 11.9 deg, I 46
- (1 1 0), 41.7 deg, I 43
- (0 1 12), 34.0 deg, I 39
- (1 0 18), 43.9 deg, I 28
- (1 1 24), 66.4 deg, I 19
- (2 0 6), 50.2 deg, I 17
- (1 2 6), 67.2 deg, I 14
- (1 1 6), 43.5 deg, I 11
- (2 1 18), 77.6 deg, I 10

4.
Theoretical powder XRD pattern of CdI2 for Cu Kα, from a structure optimized by DFT (PBE).

Atomic structure:
```
data_CdI2
_chemical_formula_sum 'Cd13 I26'
_symmetry_space_group_name_H-M 'P 1'
_symmetry_Int_Tables_number 1
_cell_length_a 4.337
_cell_length_b 4.337
_cell_length_c 98.923
_cell_angle_alpha 90.00
_cell_angle_beta 90.00
_cell_angle_gamma 120.00
loop_
_symmetry_equiv_pos_as_xyz
'x,y,z'
loop_
_atom_site_label
_atom_site_fract_x
_atom_site_fract_y
_atom_site_fract_z
Cd1 0.000 0.000 0.000
Cd2 0.000 0.000 0.077
Cd3 0.000 0.000 0.154
Cd4 0.000 0.000 0.231
Cd5 0.000 0.000 0.538
Cd6 0.000 0.000 0.615
Cd7 0.000 0.000 0.692
Cd8 0.667 0.333 0.308
Cd9 0.667 0.333 0.385
Cd10 0.667 0.333 0.461
Cd11 0.667 0.333 0.769
Cd12 0.667 0.333 0.846
Cd13 0.667 0.333 0.923
I1 0.000 0.000 0.290
I2 0.000 0.000 0.367
I3 0.000 0.000 0.444
I4 0.000 0.000 0.752
I5 0.000 0.000 0.829
I6 0.000 0.000 0.906
I7 0.333 0.667 0.017
I8 0.333 0.667 0.094
I9 0.333 0.667 0.171
I10 0.333 0.667 0.248
I11 0.333 0.667 0.325
I12 0.333 0.667 0.402
I13 0.333 0.667 0.479
I14 0.333 0.667 0.556
I15 0.333 0.667 0.633
I16 0.333 0.667 0.709
I17 0.333 0.667 0.786
I18 0.333 0.667 0.863
I19 0.333 0.667 0.940
I20 0.667 0.333 0.060
I21 0.667 0.333 0.137
I22 0.667 0.333 0.213
I23 0.667 0.333 0.521
I24 0.667 0.333 0.598
I25 0.667 0.333 0.675
I26 0.667 0.333 0.983
```

Most intense lines, 10° ≤ 2θ ≤ 90°, most intense first:
- (0 1 13), 26.5 deg, I 100
- (0 0 13), 11.6 deg, I 70
- (1 1 0), 41.7 deg, I 53
- (1 0 24), 32.2 deg, I 26
- (1 0 39), 43.0 deg, I 26
- (0 1 26), 33.5 deg, I 25
- (0 1 15), 27.3 deg, I 24
- (1 0 28), 34.9 deg, I 23
- (1 1 52), 65.2 deg, I 21
- (2 0 13), 50.0 deg, I 17

5.
Theoretical powder XRD pattern of CdI2 for Cu Kα, from a structure optimized by DFT (PBE).

Atomic structure:
```
data_CdI2
_chemical_formula_sum 'Cd12 I24'
_symmetry_space_group_name_H-M 'P 1'
_symmetry_Int_Tables_number 1
_cell_length_a 4.334
_cell_length_b 4.334
_cell_length_c 90.384
_cell_angle_alpha 90.00
_cell_angle_beta 90.00
_cell_angle_gamma 120.00
loop_
_symmetry_equiv_pos_as_xyz
'x,y,z'
loop_
_atom_site_label
_atom_site_fract_x
_atom_site_fract_y
_atom_site_fract_z
Cd1 0.000 0.000 0.000
Cd2 0.000 0.000 0.083
Cd3 0.000 0.000 0.250
Cd4 0.000 0.000 0.333
Cd5 0.000 0.000 0.500
Cd6 0.000 0.000 0.667
Cd7 0.000 0.000 0.833
Cd8 0.667 0.333 0.167
Cd9 0.667 0.333 0.417
Cd10 0.667 0.333 0.583
Cd11 0.667 0.333 0.750
Cd12 0.667 0.333 0.917
I1 0.000 0.000 0.148
I2 0.000 0.000 0.398
I3 0.000 0.000 0.564
I4 0.000 0.000 0.731
I5 0.000 0.000 0.898
I6 0.333 0.667 0.019
I7 0.333 0.667 0.102
I8 0.333 0.667 0.186
I9 0.333 0.667 0.269
I10 0.333 0.667 0.352
I11 0.333 0.667 0.436
I12 0.333 0.667 0.519
I13 0.333 0.667 0.602
I14 0.333 0.667 0.686
I15 0.333 0.667 0.769
I16 0.333 0.667 0.852
I17 0.333 0.667 0.936
I18 0.667 0.333 0.064
I19 0.667 0.333 0.231
I20 0.667 0.333 0.314
I21 0.667 0.333 0.481
I22 0.667 0.333 0.648
I23 0.667 0.333 0.814
I24 0.667 0.333 0.981
```

Most intense lines, 10° ≤ 2θ ≤ 90°, most intense first:
- (0 1 12), 26.5 deg, I 100
- (0 0 12), 11.7 deg, I 64
- (1 1 0), 41.7 deg, I 52
- (1 0 36), 43.4 deg, I 41
- (0 1 24), 33.7 deg, I 25
- (1 1 48), 65.7 deg, I 21
- (2 0 12), 50.1 deg, I 17
- (1 0 18), 29.7 deg, I 17
- (1 2 12), 67.1 deg, I 14
- (1 0 19), 30.3 deg, I 14

6.
Theoretical powder XRD pattern of CdI2 for Cu Kα, from a structure optimized by DFT (PBE).

Atomic structure:
```
data_CdI2
_chemical_formula_sum 'Cd15 I30'
_symmetry_space_group_name_H-M 'P 1'
_symmetry_Int_Tables_number 1
_cell_length_a 4.337
_cell_length_b 4.337
_cell_length_c 116.342
_cell_angle_alpha 90.00
_cell_angle_beta 90.00
_cell_angle_gamma 120.00
loop_
_symmetry_equiv_pos_as_xyz
'x,y,z'
loop_
_atom_site_label
_atom_site_fract_x
_atom_site_fract_y
_atom_site_fract_z
Cd1 0.000 0.000 0.000
Cd2 0.000 0.000 0.067
Cd3 0.000 0.000 0.133
Cd4 0.000 0.000 0.266
Cd5 0.000 0.000 0.400
Cd6 0.000 0.000 0.533
Cd7 0.000 0.000 0.666
Cd8 0.000 0.000 0.867
Cd9 0.667 0.333 0.200
Cd10 0.667 0.333 0.333
Cd11 0.667 0.333 0.467
Cd12 0.667 0.333 0.600
Cd13 0.667 0.333 0.733
Cd14 0.667 0.333 0.800
Cd15 0.667 0.333 0.933
I1 0.000 0.000 0.185
I2 0.000 0.000 0.318
I3 0.000 0.000 0.452
I4 0.000 0.000 0.585
I5 0.000 0.000 0.719
I6 0.000 0.000 0.785
I7 0.000 0.000 0.918
I8 0.333 0.667 0.015
I9 0.333 0.667 0.081
I10 0.333 0.667 0.148
I11 0.333 0.667 0.215
I12 0.333 0.667 0.281
I13 0.333 0.667 0.348
I14 0.333 0.667 0.415
I15 0.333 0.667 0.481
I16 0.333 0.667 0.548
I17 0.333 0.667 0.615
I18 0.333 0.667 0.681
I19 0.333 0.667 0.748
I20 0.333 0.667 0.815
I21 0.333 0.667 0.881
I22 0.333 0.667 0.948
I23 0.667 0.333 0.052
I24 0.667 0.333 0.119
I25 0.667 0.333 0.252
I26 0.667 0.333 0.385
I27 0.667 0.333 0.519
I28 0.667 0.333 0.652
I29 0.667 0.333 0.852
I30 0.667 0.333 0.985
```

Most intense lines, 10° ≤ 2θ ≤ 90°, most intense first:
- (0 1 15), 26.4 deg, I 100
- (0 0 15), 11.4 deg, I 80
- (1 1 0), 41.6 deg, I 53
- (0 1 30), 33.2 deg, I 27
- (1 0 45), 42.4 deg, I 26
- (1 1 60), 64.5 deg, I 20
- (0 1 23), 29.6 deg, I 20
- (1 0 22), 29.2 deg, I 19
- (1 1 15), 43.3 deg, I 18
- (2 0 15), 50.0 deg, I 17

7.
Theoretical powder XRD pattern of CdI2 for Cu Kα, from a structure optimized by DFT (PBE).

Atomic structure:
```
data_CdI2
_chemical_formula_sum 'Cd19 I38'
_symmetry_space_group_name_H-M 'P 1'
_symmetry_Int_Tables_number 1
_cell_length_a 4.342
_cell_length_b 4.342
_cell_length_c 139.582
_cell_angle_alpha 90.00
_cell_angle_beta 90.00
_cell_angle_gamma 120.00
loop_
_symmetry_equiv_pos_as_xyz
'x,y,z'
loop_
_atom_site_label
_atom_site_fract_x
_atom_site_fract_y
_atom_site_fract_z
Cd1 0.000 0.000 0.000
Cd2 0.000 0.000 0.105
Cd3 0.000 0.000 0.211
Cd4 0.000 0.000 0.263
Cd5 0.000 0.000 0.368
Cd6 0.000 0.000 0.474
Cd7 0.000 0.000 0.579
Cd8 0.000 0.000 0.684
Cd9 0.000 0.000 0.789
Cd10 0.000 0.000 0.895
Cd11 0.333 0.667 0.053
Cd12 0.333 0.667 0.158
Cd13 0.333 0.667 0.316
Cd14 0.333 0.667 0.421
Cd15 0.333 0.667 0.526
Cd16 0.333 0.667 0.632
Cd17 0.333 0.667 0.737
Cd18 0.333 0.667 0.842
Cd19 0.333 0.667 0.947
I1 0.000 0.000 0.065
I2 0.000 0.000 0.170
I3 0.000 0.000 0.328
I4 0.000 0.000 0.433
I5 0.000 0.000 0.539
I6 0.000 0.000 0.644
I7 0.000 0.000 0.749
I8 0.000 0.000 0.855
I9 0.000 0.000 0.960
I10 0.333 0.667 0.012
I11 0.333 0.667 0.118
I12 0.333 0.667 0.223
I13 0.333 0.667 0.276
I14 0.333 0.667 0.381
I15 0.333 0.667 0.486
I16 0.333 0.667 0.591
I17 0.333 0.667 0.697
I18 0.333 0.667 0.802
I19 0.333 0.667 0.907
I20 0.667 0.333 0.040
I21 0.667 0.333 0.093
I22 0.667 0.333 0.146
I23 0.667 0.333 0.198
I24 0.667 0.333 0.251
I25 0.667 0.333 0.303
I26 0.667 0.333 0.356
I27 0.667 0.333 0.409
I28 0.667 0.333 0.461
I29 0.667 0.333 0.514
I30 0.667 0.333 0.567
I31 0.667 0.333 0.619
I32 0.667 0.333 0.672
I33 0.667 0.333 0.724
I34 0.667 0.333 0.777
I35 0.667 0.333 0.830
I36 0.667 0.333 0.882
I37 0.667 0.333 0.935
I38 0.667 0.333 0.988
```

Most intense lines, 10° ≤ 2θ ≤ 90°, most intense first:
- (0 1 19), 26.6 deg, I 100
- (0 0 19), 12.0 deg, I 53
- (1 1 0), 41.6 deg, I 53
- (1 0 29), 30.2 deg, I 28
- (1 0 28), 29.8 deg, I 27
- (1 0 57), 44.1 deg, I 25
- (1 1 76), 66.7 deg, I 23
- (0 1 38), 34.1 deg, I 21
- (2 0 19), 50.1 deg, I 19
- (1 0 47), 38.6 deg, I 16

8.
Theoretical powder XRD pattern of CdI2 for Cu Kα, from a structure optimized by DFT (PBE).

Atomic structure:
```
data_CdI2
_chemical_formula_sum 'Cd20 I40'
_symmetry_space_group_name_H-M 'P 1'
_symmetry_Int_Tables_number 1
_cell_length_a 4.343
_cell_length_b 4.343
_cell_length_c 146.801
_cell_angle_alpha 90.00
_cell_angle_beta 90.00
_cell_angle_gamma 120.00
loop_
_symmetry_equiv_pos_as_xyz
'x,y,z'
loop_
_atom_site_label
_atom_site_fract_x
_atom_site_fract_y
_atom_site_fract_z
Cd1 0.000 0.000 0.000
Cd2 0.000 0.000 0.050
Cd3 0.000 0.000 0.100
Cd4 0.000 0.000 0.150
Cd5 0.000 0.000 0.250
Cd6 0.000 0.000 0.350
Cd7 0.000 0.000 0.450
Cd8 0.000 0.000 0.550
Cd9 0.000 0.000 0.650
Cd10 0.000 0.000 0.750
Cd11 0.000 0.000 0.850
Cd12 0.000 0.000 0.900
Cd13 0.333 0.667 0.950
Cd14 0.667 0.333 0.200
Cd15 0.667 0.333 0.300
Cd16 0.667 0.333 0.400
Cd17 0.667 0.333 0.500
Cd18 0.667 0.333 0.600
Cd19 0.667 0.333 0.700
Cd20 0.667 0.333 0.800
I1 0.000 0.000 0.188
I2 0.000 0.000 0.288
I3 0.000 0.000 0.388
I4 0.000 0.000 0.488
I5 0.000 0.000 0.588
I6 0.000 0.000 0.688
I7 0.000 0.000 0.788
I8 0.000 0.000 0.962
I9 0.333 0.667 0.012
I10 0.333 0.667 0.062
I11 0.333 0.667 0.112
I12 0.333 0.667 0.162
I13 0.333 0.667 0.212
I14 0.333 0.667 0.262
I15 0.333 0.667 0.312
I16 0.333 0.667 0.362
I17 0.333 0.667 0.412
I18 0.333 0.667 0.462
I19 0.333 0.667 0.512
I20 0.333 0.667 0.562
I21 0.333 0.667 0.612
I22 0.333 0.667 0.662
I23 0.333 0.667 0.712
I24 0.333 0.667 0.762
I25 0.333 0.667 0.812
I26 0.333 0.667 0.862
I27 0.333 0.667 0.912
I28 0.667 0.333 0.038
I29 0.667 0.333 0.088
I30 0.667 0.333 0.138
I31 0.667 0.333 0.238
I32 0.667 0.333 0.338
I33 0.667 0.333 0.438
I34 0.667 0.333 0.538
I35 0.667 0.333 0.638
I36 0.667 0.333 0.738
I37 0.667 0.333 0.838
I38 0.667 0.333 0.888
I39 0.667 0.333 0.938
I40 0.667 0.333 0.988
```

Most intense lines, 10° ≤ 2θ ≤ 90°, most intense first:
- (0 1 20), 26.6 deg, I 100
- (1 1 0), 41.6 deg, I 56
- (0 0 20), 12.1 deg, I 56
- (1 0 30), 30.0 deg, I 33
- (1 0 60), 44.2 deg, I 25
- (1 1 80), 66.7 deg, I 24
- (0 1 40), 34.1 deg, I 20
- (0 1 50), 38.9 deg, I 18
- (2 0 20), 50.1 deg, I 17
- (1 2 20), 67.1 deg, I 14